Theoretical X-ray powder pattern of TbPr4Sn4 for a wavelength of 1.5418 Å, from DFT lattice parameters and positions (GGA-PBE).
Peak positions follow from Bragg's law for the DFT cell and can differ from measured ones.

Atomic structure:
```
data_TbPr4Sn4
_space_group_name_H-M_alt 'P 42/n'
_space_group_IT_number 86
_cell_length_a 9.5807
_cell_length_b 9.5807
_cell_length_c 6.5188
_cell_angle_alpha 90.00
_cell_angle_beta 90.00
_cell_angle_gamma 90.00
loop_
_space_group_symop_operation_xyz
'x,y,z'
'-x,-y,-z'
'-y,x+1/2,z+1/2'
'y,-x+1/2,-z+1/2'
'-x+1/2,-y+1/2,z'
'x+1/2,y+1/2,-z'
'y+1/2,-x,z+1/2'
'-y+1/2,x,-z+1/2'
loop_
_atom_site_label
_atom_site_fract_x
_atom_site_fract_y
_atom_site_fract_z
Tb1 0.2500 0.2500 0.2500
Pr1 0.0369 0.6691 0.1141
Sn1 0.0214 0.6431 0.6067
```

Top 10 peaks for 2θ = 5–70°, by intensity:
2θ (°)  Rel. int.  h k l
29.48  100  1 3 0
34.58  48  1 2 2
28.94  41  1 0 2
43.96  32  2 3 2
42.18  32  4 2 0
48.09  26  4 1 2
24.87  19  2 1 1
64.96  18  1 3 4
59.16  16  2 5 2
69.07  11  5 4 2